This entry pairs a crystal structure of K2SrPbF8 with its computed powder XRD pattern. Radiation: λ = 1.5418 Å (Cu Kα). Structure: a GGA-PBE-relaxed structure.
Peak positions follow from Bragg's law for the DFT cell and can differ from measured ones.

Atomic structure:
Lattice parameters (Å, degrees): 4.0964 8.1111 6.2252 90.00 93.98 90.00
Fractional coordinates of all 12 atoms:
K (0.0000, 0.2480, 0.0000)
K (0.0000, 0.7520, 0.0000)
Sr (0.5000, 0.0000, 0.5000)
Pb (0.5000, 0.5000, 0.5000)
F (0.0108, 0.0000, 0.7294)
F (0.0459, 0.5000, 0.3013)
F (0.4585, 0.2899, 0.7082)
F (0.4585, 0.7101, 0.7082)
F (0.5415, 0.2899, 0.2918)
F (0.5415, 0.7101, 0.2918)
F (0.9541, 0.5000, 0.6987)
F (0.9892, 0.0000, 0.2706)

Top 6 peaks for 10 to 90 degrees two-theta, sorted by position:
index, two_theta, I/Imax
0 1 0, 10.91, 441
0 0 1, 14.26, 873
1 0 -1, 25.24, 525
0 2 1, 26.25, 1000
1 0 1, 26.94, 508
1 2 -2, 41.73, 533